For TaNi2Te3, a structure optimized by DFT (GGA-PBE) gives the calculated X-ray powder pattern in this record (Cu Kα (λ = 1.5418 Å)).

Peak list (6 most intense, 15° ≤ 2θ ≤ 90°, in order of rising 2θ)
| h k l | two_theta | d (Å) | I_rel |
| --- | --- | --- | --- |
| 2 0 1 | 28.64 | 3.117 | 73 |
| 1 1 -2 | 30.01 | 2.978 | 100 |
| 1 1 -3 | 35.27 | 2.545 | 57 |
| 1 1 3 | 41.55 | 2.174 | 51 |
| 3 1 -1 | 42.37 | 2.133 | 81 |
| 2 0 -5 | 43.83 | 2.066 | 49 |

Cell and atoms:
Cell: 7.8602 3.7162 10.5337 Å, 90.00 110.31 90.00°
Space group P2_1/m (No. 11)
Unique sites:
Ta1 0.2117 0.2500 0.1993 x2
Ni1 0.0378 0.2500 0.9343 x2
Ni2 0.4046 0.7500 0.4081 x2
Te1 0.0571 0.7500 0.3264 x2
Te2 0.2762 0.7500 0.0076 x2
Te3 0.4231 0.7500 0.6580 x2